For V4OF11, a cell relaxed with GGA+U gives the theoretical powder diffraction line list in this record (Cu Kα, 1.54184 Å).
Intensities are scaled so that the largest is 100.

Peak list (6 most intense, 2θ = 10–90°, low angle first)
2θ/deg  I (rel.)  hkl
23.43  50  0 1 3
23.57  100  1 0 3
32.83  15  1 -1 0
39.71  19  2 0 2
48.22  20  2 0 6
53.46  18  2 3 -1

Structural model:
Cell lengths 5.241, 5.461, 17.491 Å; angles 82.78, 81.39, 61.40 degrees
Positions (direct):
V 0.000 0.000 0.000
V 0.102 0.115 0.632
V 0.263 0.237 0.257
V 0.373 0.379 0.874
V 0.482 0.500 0.501
V 0.627 0.621 0.126
V 0.749 0.758 0.748
V 0.857 0.879 0.374
O 0.484 0.086 0.329
O 0.961 0.962 0.704
F 0.013 0.407 0.168
F 0.035 0.035 0.286
F 0.040 0.429 0.688
F 0.198 0.822 0.560
F 0.210 0.216 0.963
F 0.235 0.834 0.088
F 0.245 0.664 0.412
F 0.273 0.283 0.543
F 0.292 0.688 0.937
F 0.450 0.469 0.214
F 0.454 0.071 0.812
F 0.503 0.911 0.661
F 0.531 0.947 0.185
F 0.536 0.545 0.786
F 0.698 0.715 0.462
F 0.709 0.312 0.064
F 0.729 0.346 0.588
F 0.766 0.161 0.911
F 0.770 0.191 0.438
F 0.789 0.783 0.037
F 0.955 0.553 0.313
F 0.980 0.596 0.837